Calculated X-ray diffraction stick pattern of NaPr2H6Ru for a wavelength of 1.5418 Å, from a crystal structure in Alexandria, relaxed with PBE.
Lines closer than 0.1° are merged.

a = 4.8193 Å, b = 4.8193 Å, c = 7.0446 Å
α = 90.00°, β = 90.00°, γ = 120.00°
Space group P-3m1 (No. 164)
Symmetry-distinct sites (fractional):
Na 0.0000 0.0000 0.0000
Pr 0.3333 0.6667 0.2991
H 0.1696 0.3392 0.6416
Ru 0.0000 0.0000 0.5000

Most intense lines, 10 to 90 degrees two-theta, in order of falling intensity:
2θ 24.80, intensity 100.0; 2θ 33.28, intensity 67.0; 2θ 37.32, intensity 52.1; 2θ 12.57, intensity 44.1; 2θ 44.26, intensity 22.6; 2θ 45.32, intensity 20.9